1.
Computed powder XRD pattern
Compound: CdAg5Pd5
Radiation: CuKα
Structure: a DFT-relaxed cell (GGA-PBE, Alexandria)

Structural model:
abc: 5.5693 5.6447 6.6522
angles: 75.91 76.94 77.14
Space group P-1 (No. 2)
Symmetry-distinct sites (fractional):
Cd: 0.0000 0.0000 0.0000
Ag: 0.0000 0.5000 0.0000
Ag: 0.1500 0.1565 0.3523
Ag: 0.3621 0.7711 0.6954
Pd: 0.2163 0.6534 0.3145
Pd: 0.3025 0.3011 0.6712
Pd: 0.5000 0.0000 0.0000

The 10 most intense peaks (2θ from 10° to 80°), by angle:
| h k l | 2θ/deg | intensity |
| --- | --- | --- |
| 2 0 -1 | 38.89 | 100 |
| 0 2 2 | 39.22 | 54 |
| 2 0 2 | 40.01 | 56 |
| 2 2 1 | 41.20 | 56 |
| 0 0 3 | 42.76 | 41 |
| 2 -2 0 | 52.35 | 17 |
| 2 2 -2 | 59.84 | 11 |
| 2 2 4 | 61.92 | 13 |
| -2 2 3 | 69.28 | 14 |
| 4 2 3 | 75.01 | 12 |

2.
Computed powder XRD pattern
Compound: V4Co2Si5
Radiation: CuKα
Structure: a DFT-relaxed cell (GGA-PBE, Alexandria)

Structural model:
abc: 7.4928 15.1689 4.7819
angles: 90.00 90.00 90.00
Space group Ibam (No. 72)
Symmetry-distinct sites (fractional):
V: 0.1077 0.1389 0.0000
V: 0.2462 0.4372 0.0000
Co: 0.0000 0.3024 0.2500
Si: 0.0000 0.0000 0.2500
Si: 0.0815 0.4282 0.5000
Si: 0.2083 0.2180 0.5000

The 10 most intense peaks (2θ from 10° to 80°), by angle:
| h k l | 2θ/deg | intensity |
| --- | --- | --- |
| 2 2 0 | 26.54 | 24 |
| 0 0 2 | 37.62 | 20 |
| 3 3 0 | 40.27 | 47 |
| 1 6 1 | 42.19 | 57 |
| 3 2 1 | 42.54 | 100 |
| 2 5 1 | 42.76 | 40 |
| 2 6 0 | 43.17 | 23 |
| 1 7 0 | 43.47 | 54 |
| 1 3 2 | 43.58 | 94 |
| 2 0 2 | 44.98 | 55 |